# Cu12Sb4Te12Se
Theoretical powder diffraction line list, CuKα. Input: DFT lattice parameters and positions (PBE).
Intensities are scaled so that the largest is 100.

Principal peaks in the range 10 to 90 degrees two-theta, by angle:
d (Å)  2θ (°)  intensity
3.312  26.92  100
3.066  29.12  23
2.704  33.13  20
2.250  40.07  14
2.095  43.19  13
2.028  44.68  65
1.861  48.94  17
1.730  52.94  30

Cell and atoms:
Lattice parameters (Å, degrees): 9.9360 9.9360 9.9360 109.47 109.47 109.47
Element x y z (fractional)
Cu: 0.0000 0.2113 0.2113
Cu: 0.0000 0.7887 0.7887
Cu: 0.2113 0.0000 0.2113
Cu: 0.2113 0.2113 0.0000
Cu: 0.2500 0.5000 0.7500
Cu: 0.2500 0.7500 0.5000
Cu: 0.5000 0.2500 0.7500
Cu: 0.5000 0.7500 0.2500
Cu: 0.7500 0.2500 0.5000
Cu: 0.7500 0.5000 0.2500
Cu: 0.7887 0.0000 0.7887
Cu: 0.7887 0.7887 0.0000
Sb: 0.0000 0.0000 0.5611
Sb: 0.0000 0.5611 0.0000
Sb: 0.4389 0.4389 0.4389
Sb: 0.5611 0.0000 0.0000
Te: 0.0000 0.2479 0.4788
Te: 0.0000 0.4788 0.2479
Te: 0.2309 0.7521 0.7521
Te: 0.2479 0.0000 0.4788
Te: 0.2479 0.4788 0.0000
Te: 0.4788 0.0000 0.2479
Te: 0.4788 0.2479 0.0000
Te: 0.5212 0.5212 0.7691
Te: 0.5212 0.7691 0.5212
Te: 0.7521 0.2309 0.7521
Te: 0.7521 0.7521 0.2309
Te: 0.7691 0.5212 0.5212
Se: 0.0000 0.0000 0.0000